For SmSiPt3, a PBE-relaxed structure gives the simulated X-ray diffraction stick pattern in this record (CuKα).
Kinematic intensities with the Lorentz-polarization factor, no thermal factor.

Atomic structure:
Lattice parameters (Å, degrees): 4.084 4.084 5.501 90.00 90.00 90.00
Element x y z (fractional)
Sm 0.000 0.000 0.000
Si 0.500 0.500 0.260
Pt 0.000 0.500 0.491
Pt 0.500 0.000 0.491
Pt 0.500 0.500 0.843

Top 10 peaks for 5° ≤ 2θ ≤ 70°, in order of falling intensity:
| d/Å | two_theta | I_rel |
| --- | --- | --- |
| 2.557 | 35.10 | 100 |
| 2.042 | 44.37 | 35 |
| 2.750 | 32.56 | 17 |
| 2.281 | 39.50 | 16 |
| 1.992 | 45.55 | 15 |
| 1.639 | 56.10 | 14 |
| 1.444 | 64.55 | 11 |
| 5.501 | 16.11 | 10 |
| 1.521 | 60.89 | 9 |
| 3.279 | 27.20 | 9 |


For CeEuGePb, a PBE-relaxed structure gives the simulated X-ray diffraction stick pattern in this record (CuKα).
Kinematic intensities with the Lorentz-polarization factor, no thermal factor.

Atomic structure:
Lattice parameters (Å, degrees): 5.417 5.417 5.417 60.00 60.00 60.00
Element x y z (fractional)
Ce 0.000 0.000 0.000
Eu 0.500 0.500 0.500
Ge 0.250 0.250 0.250
Pb 0.750 0.750 0.750

Top 8 peaks for 5° ≤ 2θ ≤ 70°, in order of falling intensity:
| d/Å | two_theta | I_rel |
| --- | --- | --- |
| 2.708 | 33.08 | 100 |
| 1.564 | 59.08 | 38 |
| 1.915 | 47.48 | 18 |
| 1.354 | 69.40 | 12 |
| 4.423 | 20.08 | 11 |
| 2.310 | 39.00 | 7 |
| 1.757 | 52.04 | 3 |
| 1.474 | 63.06 | 2 |


For NaMg2AgCl6, a PBE-relaxed structure gives the simulated X-ray diffraction stick pattern in this record (CuKα).
Kinematic intensities with the Lorentz-polarization factor, no thermal factor.

Atomic structure:
Lattice parameters (Å, degrees): 8.918 8.918 6.910 99.15 99.15 85.70
Element x y z (fractional)
Na 0.237 0.763 0.750
Na 0.763 0.237 0.250
Mg 0.112 0.289 0.793
Mg 0.289 0.112 0.293
Mg 0.711 0.888 0.707
Mg 0.888 0.711 0.207
Ag 0.398 0.602 0.250
Ag 0.602 0.398 0.750
Cl 0.067 0.206 0.093
Cl 0.117 0.627 0.376
Cl 0.206 0.067 0.593
Cl 0.300 0.469 0.872
Cl 0.373 0.883 0.124
Cl 0.469 0.300 0.372
Cl 0.531 0.700 0.628
Cl 0.627 0.117 0.876
Cl 0.700 0.531 0.128
Cl 0.794 0.933 0.407
Cl 0.883 0.373 0.624
Cl 0.933 0.794 0.907

Top 10 peaks for 5° ≤ 2θ ≤ 70°, in order of falling intensity:
| d/Å | two_theta | I_rel |
| --- | --- | --- |
| 3.449 | 25.83 | 100 |
| 2.848 | 31.41 | 98 |
| 8.793 | 10.06 | 96 |
| 1.954 | 46.47 | 64 |
| 4.015 | 22.14 | 62 |
| 2.000 | 45.34 | 54 |
| 2.746 | 32.61 | 50 |
| 3.964 | 22.43 | 49 |
| 6.383 | 13.87 | 33 |
| 2.022 | 44.83 | 26 |


For Tb4Ho8Er3, a PBE-relaxed structure gives the simulated X-ray diffraction stick pattern in this record (CuKα).
Kinematic intensities with the Lorentz-polarization factor, no thermal factor.

Atomic structure:
Lattice parameters (Å, degrees): 12.302 12.302 12.302 32.42 32.42 32.42
Element x y z (fractional)
Tb 0.000 0.000 0.000
Tb 0.164 0.164 0.164
Tb 0.500 0.500 0.500
Tb 0.836 0.836 0.836
Ho 0.250 0.250 0.748
Ho 0.250 0.748 0.250
Ho 0.252 0.750 0.750
Ho 0.255 0.255 0.255
Ho 0.745 0.745 0.745
Ho 0.748 0.250 0.250
Ho 0.750 0.253 0.750
Ho 0.750 0.750 0.252
Er 0.000 0.500 0.500
Er 0.500 0.000 0.500
Er 0.500 0.500 0.000

Top 10 peaks for 5° ≤ 2θ ≤ 70°, in order of falling intensity:
| d/Å | two_theta | I_rel |
| --- | --- | --- |
| 2.815 | 31.79 | 100 |
| 2.458 | 36.56 | 73 |
| 2.911 | 30.71 | 56 |
| 1.479 | 62.84 | 44 |
| 1.717 | 53.36 | 37 |
| 2.960 | 30.19 | 26 |
| 1.760 | 51.96 | 23 |
| 3.294 | 27.07 | 17 |
| 1.506 | 61.57 | 16 |
| 1.466 | 63.46 | 14 |


For HfTa2Re3, a PBE-relaxed structure gives the simulated X-ray diffraction stick pattern in this record (CuKα).
Kinematic intensities with the Lorentz-polarization factor, no thermal factor.

Atomic structure:
Lattice parameters (Å, degrees): 3.220 3.220 9.708 90.00 90.00 90.00
Element x y z (fractional)
Hf 0.000 0.000 0.000
Ta 0.000 0.000 0.334
Ta 0.000 0.000 0.666
Re 0.500 0.500 0.174
Re 0.500 0.500 0.500
Re 0.500 0.500 0.826

Top 4 peaks for 5° ≤ 2θ ≤ 70°, in order of falling intensity:
| d/Å | two_theta | I_rel |
| --- | --- | --- |
| 2.282 | 39.48 | 100 |
| 2.277 | 39.59 | 50 |
| 1.610 | 57.23 | 17 |
| 1.618 | 56.91 | 9 |


For Ca3Cd5P8O28, a PBE-relaxed structure gives the simulated X-ray diffraction stick pattern in this record (CuKα).
Kinematic intensities with the Lorentz-polarization factor, no thermal factor.

Atomic structure:
Lattice parameters (Å, degrees): 6.745 6.914 13.491 85.65 82.98 65.47
Element x y z (fractional)
Ca 0.000 0.000 0.000
Ca 0.002 0.991 0.499
Ca 0.540 0.330 0.363
Cd 0.150 0.408 0.601
Cd 0.160 0.410 0.101
Cd 0.381 0.915 0.757
Cd 0.383 0.919 0.258
Cd 0.550 0.321 0.860
P 0.035 0.418 0.353
P 0.037 0.414 0.850
P 0.503 0.912 0.007
P 0.505 0.901 0.508
P 0.627 0.475 0.612
P 0.631 0.486 0.111
P 0.908 0.845 0.751
P 0.910 0.844 0.250
O 0.008 0.771 0.645
O 0.011 0.772 0.143
O 0.055 0.897 0.812
O 0.060 0.891 0.311
O 0.158 0.458 0.432
O 0.176 0.441 0.927
O 0.197 0.296 0.761
O 0.213 0.303 0.267
O 0.324 0.019 0.592
O 0.327 0.027 0.093
O 0.379 0.875 0.928
O 0.386 0.858 0.428
O 0.477 0.431 0.551
O 0.481 0.436 0.051
O 0.527 0.547 0.720
O 0.532 0.557 0.218
O 0.654 0.012 0.470
O 0.654 0.021 0.970
O 0.665 0.679 0.557
O 0.667 0.688 0.053
O 0.672 0.017 0.753
O 0.677 0.019 0.253
O 0.860 0.301 0.608
O 0.866 0.313 0.108
O 0.872 0.642 0.307
O 0.873 0.643 0.810
O 0.884 0.311 0.895
O 0.887 0.307 0.392

Top 10 peaks for 5° ≤ 2θ ≤ 70°, in order of falling intensity:
| d/Å | two_theta | I_rel |
| --- | --- | --- |
| 3.145 | 28.38 | 100 |
| 2.989 | 29.90 | 47 |
| 2.920 | 30.61 | 44 |
| 3.338 | 26.70 | 41 |
| 4.520 | 19.64 | 21 |
| 2.157 | 41.88 | 16 |
| 3.168 | 28.17 | 16 |
| 6.106 | 14.51 | 15 |
| 2.678 | 33.46 | 15 |
| 2.518 | 35.66 | 14 |


For Pm12Ho5Mg, a PBE-relaxed structure gives the simulated X-ray diffraction stick pattern in this record (CuKα).
Kinematic intensities with the Lorentz-polarization factor, no thermal factor.

Atomic structure:
Lattice parameters (Å, degrees): 10.530 10.530 5.880 90.00 90.00 114.08
Element x y z (fractional)
Pm 0.003 0.326 0.500
Pm 0.150 0.150 0.000
Pm 0.181 0.494 0.000
Pm 0.326 0.003 0.500
Pm 0.346 0.346 0.500
Pm 0.494 0.181 0.000
Pm 0.506 0.819 0.000
Pm 0.654 0.654 0.500
Pm 0.674 0.997 0.500
Pm 0.819 0.506 0.000
Pm 0.850 0.850 0.000
Pm 0.997 0.674 0.500
Ho 0.000 0.000 0.500
Ho 0.176 0.824 0.000
Ho 0.325 0.675 0.500
Ho 0.675 0.325 0.500
Ho 0.824 0.176 0.000
Mg 0.500 0.500 0.000

Top 10 peaks for 5° ≤ 2θ ≤ 70°, in order of falling intensity:
| d/Å | two_theta | I_rel |
| --- | --- | --- |
| 2.814 | 31.80 | 100 |
| 2.942 | 30.38 | 56 |
| 1.672 | 54.91 | 21 |
| 2.081 | 43.50 | 20 |
| 1.674 | 54.85 | 19 |
| 1.602 | 57.54 | 17 |
| 1.407 | 66.46 | 11 |
| 1.910 | 47.62 | 8 |
| 1.470 | 63.26 | 4 |
| 2.928 | 30.53 | 3 |


For Sr2PdCl, a PBE-relaxed structure gives the simulated X-ray diffraction stick pattern in this record (CuKα).
Kinematic intensities with the Lorentz-polarization factor, no thermal factor.

Atomic structure:
Lattice parameters (Å, degrees): 8.169 8.169 8.169 30.55 30.55 30.55
Element x y z (fractional)
Sr 0.241 0.241 0.241
Sr 0.759 0.759 0.759
Pd 0.500 0.500 0.500
Cl 0.000 0.000 0.000

Top 10 peaks for 5° ≤ 2θ ≤ 70°, in order of falling intensity:
| d/Å | two_theta | I_rel |
| --- | --- | --- |
| 3.142 | 28.41 | 100 |
| 2.298 | 39.20 | 38 |
| 2.152 | 41.98 | 35 |
| 7.782 | 11.37 | 27 |
| 1.775 | 51.47 | 18 |
| 1.370 | 68.51 | 15 |
| 1.443 | 64.57 | 15 |
| 1.571 | 58.78 | 11 |
| 2.486 | 36.14 | 10 |
| 1.946 | 46.69 | 7 |


For La4AuCl4, a PBE-relaxed structure gives the simulated X-ray diffraction stick pattern in this record (CuKα).
Kinematic intensities with the Lorentz-polarization factor, no thermal factor.

Atomic structure:
Lattice parameters (Å, degrees): 7.186 7.186 9.298 130.22 130.22 47.74
Element x y z (fractional)
La 0.090 0.090 0.275
La 0.316 0.316 0.907
La 0.684 0.684 0.093
La 0.910 0.910 0.725
Au 0.000 0.000 0.500
Cl 0.220 0.220 0.117
Cl 0.396 0.396 0.676
Cl 0.604 0.604 0.324
Cl 0.780 0.780 0.883

Top 10 peaks for 5° ≤ 2θ ≤ 70°, in order of falling intensity:
| d/Å | two_theta | I_rel |
| --- | --- | --- |
| 2.942 | 30.39 | 100 |
| 2.068 | 43.77 | 72 |
| 4.931 | 17.99 | 68 |
| 2.908 | 30.75 | 51 |
| 3.384 | 26.34 | 49 |
| 2.736 | 32.73 | 37 |
| 1.692 | 54.22 | 36 |
| 2.080 | 43.51 | 35 |
| 2.358 | 38.16 | 32 |
| 1.479 | 62.83 | 17 |


For SbRuPt3, a PBE-relaxed structure gives the simulated X-ray diffraction stick pattern in this record (CuKα).
Kinematic intensities with the Lorentz-polarization factor, no thermal factor.

Atomic structure:
Lattice parameters (Å, degrees): 4.810 4.810 4.810 90.00 90.00 90.00
Element x y z (fractional)
Sb 0.000 0.000 0.000
Ru 0.500 0.500 0.500
Pt 0.000 0.500 0.500
Pt 0.500 0.000 0.500
Pt 0.500 0.500 0.000

Top 9 peaks for 5° ≤ 2θ ≤ 70°, in order of falling intensity:
| d/Å | two_theta | I_rel |
| --- | --- | --- |
| 2.777 | 32.23 | 100 |
| 2.405 | 37.39 | 92 |
| 1.701 | 53.91 | 64 |
| 1.450 | 64.22 | 43 |
| 4.810 | 18.44 | 25 |
| 1.389 | 67.44 | 22 |
| 2.151 | 42.00 | 13 |
| 1.603 | 57.47 | 6 |
| 3.401 | 26.20 | 1 |


For Sm8Y4Er3, a PBE-relaxed structure gives the simulated X-ray diffraction stick pattern in this record (CuKα).
Kinematic intensities with the Lorentz-polarization factor, no thermal factor.

Atomic structure:
Lattice parameters (Å, degrees): 9.144 9.144 6.901 110.93 110.93 82.80
Element x y z (fractional)
Sm 0.201 0.201 0.177
Sm 0.203 0.797 0.000
Sm 0.251 0.749 0.500
Sm 0.253 0.253 0.713
Sm 0.747 0.747 0.287
Sm 0.749 0.251 0.500
Sm 0.797 0.203 0.000
Sm 0.799 0.799 0.823
Y 0.000 0.500 0.000
Y 0.500 0.000 0.000
Y 0.500 0.500 0.000
Y 0.500 0.500 0.500
Er 0.000 0.000 0.500
Er 0.000 0.500 0.500
Er 0.500 0.000 0.500

Top 10 peaks for 5° ≤ 2θ ≤ 70°, in order of falling intensity:
| d/Å | two_theta | I_rel |
| --- | --- | --- |
| 3.019 | 29.58 | 100 |
| 2.711 | 33.04 | 33 |
| 2.655 | 33.76 | 32 |
| 2.135 | 42.33 | 30 |
| 2.996 | 29.82 | 25 |
| 3.036 | 29.42 | 24 |
| 3.449 | 25.83 | 19 |
| 1.498 | 61.96 | 14 |
| 2.955 | 30.24 | 11 |
| 1.517 | 61.09 | 10 |


For Pm2Ho4Zr, a PBE-relaxed structure gives the simulated X-ray diffraction stick pattern in this record (CuKα).
Kinematic intensities with the Lorentz-polarization factor, no thermal factor.

Atomic structure:
Lattice parameters (Å, degrees): 19.859 19.859 19.859 10.25 10.25 10.25
Element x y z (fractional)
Pm 0.000 0.000 0.000
Pm 0.098 0.098 0.098
Ho 0.284 0.284 0.284
Ho 0.383 0.383 0.383
Ho 0.815 0.815 0.815
Ho 0.902 0.902 0.902
Zr 0.192 0.192 0.192

Top 10 peaks for 5° ≤ 2θ ≤ 70°, in order of falling intensity:
| d/Å | two_theta | I_rel |
| --- | --- | --- |
| 2.669 | 33.58 | 100 |
| 2.728 | 32.83 | 97 |
| 2.822 | 31.71 | 50 |
| 1.502 | 61.77 | 45 |
| 1.774 | 51.52 | 44 |
| 3.069 | 29.10 | 31 |
| 3.056 | 29.22 | 18 |
| 1.586 | 58.16 | 17 |
| 1.477 | 62.91 | 16 |
| 1.487 | 62.45 | 15 |